# Na4ZnSi2SnSO12
Computed PXRD pattern, copper Kα. Input: a PBE-relaxed structure.

Top 10 peaks for 10 to 90 degrees two-theta, low angle first:
13.65°, rel. 19.4; 19.22°, rel. 17.6; 19.45°, rel. 100.0; 27.50°, rel. 20.9; 30.08°, rel. 14.9; 30.97°, rel. 74.8; 31.08°, rel. 37.2; 33.72°, rel. 45.2; 34.01°, rel. 27.9; 46.71°, rel. 21.8

Structural model:
Cell: 9.118 9.118 9.110 Å, 119.69 119.69 60.86°
Fractional positions:
Na 0.061 0.939 0.500
Na 0.192 0.669 0.113
Na 0.299 0.432 0.728
Na 0.432 0.299 0.228
Na 0.533 0.777 0.339
Na 0.669 0.192 0.613
Na 0.777 0.533 0.839
Na 0.939 0.061 0.000
Zn 0.318 0.822 0.954
Zn 0.822 0.318 0.454
Si 0.116 0.215 0.857
Si 0.215 0.116 0.357
Si 0.416 0.623 0.567
Si 0.623 0.416 0.067
Sn 0.033 0.501 0.253
Sn 0.501 0.033 0.753
S 0.715 0.915 0.151
S 0.915 0.715 0.651
O 0.042 0.145 0.387
O 0.070 0.739 0.814
O 0.098 0.407 0.032
O 0.145 0.042 0.887
O 0.203 0.301 0.348
O 0.229 0.620 0.383
O 0.242 0.937 0.184
O 0.301 0.203 0.848
O 0.392 0.650 0.742
O 0.407 0.098 0.532
O 0.441 0.581 0.030
O 0.446 0.803 0.588
O 0.558 0.883 0.124
O 0.581 0.441 0.530
O 0.620 0.229 0.883
O 0.650 0.392 0.242
O 0.695 0.938 0.987
O 0.739 0.070 0.314
O 0.758 0.882 0.672
O 0.803 0.446 0.088
O 0.882 0.758 0.172
O 0.883 0.558 0.624
O 0.937 0.242 0.684
O 0.938 0.695 0.487